[1]
Theoretical powder diffractogram
Compound: YHg7
Radiation: Cu Kα (λ = 1.5418 Å)
Structure: a structure optimized by DFT (PBE)

Most intense lines, 10 to 80 degrees two-theta, in order of rising 2θ:
2θ/deg, I/Imax, h k l
20.14, 2, 1 0 1
33.49, 100, 1 1 4
36.83, 19, 0 0 8
39.85, 31, 2 0 0
55.37, 24, 2 0 8
57.62, 11, 2 2 0
64.22, 15, 1 1 12
68.31, 26, 3 1 4
70.37, 12, 2 2 8
78.36, 2, 0 0 16

Structure:
Unit cell a=4.5248 b=4.5248 c=19.5242 alpha=90.00 beta=90.00 gamma=90.00
Space group I4/mmm (No. 139)
Symmetry-distinct sites (fractional):
Y1 0.0000 0.0000 0.0000 x2
Hg1 0.0000 0.0000 0.2519 x4
Hg2 0.0000 0.0000 0.5000 x2
Hg3 0.0000 0.5000 0.1229 x8



[2]
Theoretical powder diffractogram
Compound: Na3NdB2O6
Radiation: Cu Kα (λ = 1.5418 Å)
Structure: a structure optimized by DFT (PBE)

Most intense lines, 10 to 80 degrees two-theta, in order of rising 2θ:
2θ/deg, I/Imax, h k l
13.17, 79, 0 1 1
15.70, 100, 1 0 0
18.84, 73, 1 1 -2
19.96, 60, 0 1 2
21.80, 81, 0 2 1
24.07, 54, 1 2 -1
34.90, 51, 0 0 4
34.98, 64, 0 3 2
41.84, 46, 3 1 -3
42.65, 48, 1 2 3

Structure:
Unit cell a=6.6788 b=8.8795 c=12.1639 alpha=90.00 beta=122.30 gamma=90.00
Space group P2_1/c (No. 14)
Symmetry-distinct sites (fractional):
Na1 0.0811 0.1849 0.1057 x4
Na2 0.0895 0.0608 0.3931 x4
Na3 0.3214 0.7326 0.8430 x4
Nd1 0.4865 0.6143 0.6446 x4
B1 0.0834 0.1004 0.8625 x4
B2 0.3663 0.5705 0.1260 x4
O1 0.1149 0.6001 0.6305 x4
O2 0.1262 0.2164 0.8005 x4
O3 0.2493 0.5184 0.4139 x4
O4 0.2911 0.0770 0.6184 x4
O5 0.3140 0.6539 0.0177 x4
O6 0.4925 0.6384 0.2492 x4



[3]
Theoretical powder diffractogram
Compound: AcTcO5
Radiation: Cu Kα (λ = 1.5418 Å)
Structure: a structure optimized by DFT (PBE)

Most intense lines, 10 to 80 degrees two-theta, in order of rising 2θ:
2θ/deg, I/Imax, h k l
15.42, 17, 1 1 0
21.88, 100, 2 0 0
22.36, 73, 1 0 1
24.93, 17, 1 1 1
31.14, 29, 2 2 0
31.48, 36, 2 1 1
38.67, 26, 3 0 1
42.67, 27, 1 1 2
44.87, 23, 3 2 1
53.75, 35, 3 1 2

Structure:
Unit cell a=8.1246 b=8.1246 c=4.5599 alpha=90.00 beta=90.00 gamma=90.00
Space group P4/nmm (No. 129, origin choice 2)
Symmetry-distinct sites (fractional):
Ac1 0.2500 0.2500 0.2391 x2
Tc1 0.2500 0.7500 0.5000 x2
O1 0.0744 0.7500 0.7216 x8
O2 0.2500 0.2500 0.7402 x2



- Number 2 is which compound?
  Na3NdB2O6